[1]
The following is a simulated powder diffraction line list of NbPO5. It was derived from DFT lattice parameters and positions (PBE), using a wavelength of 1.5418 Å.

Peak list (10 most intense, 15° ≤ 2θ ≤ 90°, in order of rising 2θ)
two_theta  d_spacing  I/Imax  hkl
15.46  5.732  520  2 0 0
20.32  4.371  870  1 0 2
21.08  4.214  1000  1 1 -2
22.48  3.956  905  2 1 -2
26.25  3.395  577  1 1 2
26.80  3.326  319  2 0 2
32.23  2.777  397  3 1 -4
33.23  2.696  237  0 2 0
35.46  2.532  297  4 1 0
53.63  1.709  232  2 2 -6

Cell and atoms:
```
56
Lattice="13.283 0.000 0.000 0.000 5.393 0.000 -6.823 0.000 11.659" Properties=species:S:1:pos:R:3 pbc="T T T"
Nb -0.509 1.312 2.300
Nb -3.921 1.385 8.129
Nb 4.886 4.025 1.562
Nb 1.474 4.064 7.392
Nb 4.986 1.329 4.267
Nb 1.574 1.368 10.097
Nb 10.381 4.008 3.530
Nb 6.969 4.081 9.359
P 1.422 3.965 1.058
P -1.990 4.124 6.888
P -1.799 1.292 10.931
P 1.612 1.404 5.101
P 4.848 3.989 6.558
P 8.259 4.101 0.728
P 8.450 1.269 4.771
P 5.038 1.428 10.601
O -1.548 2.855 2.815
O -4.960 5.234 8.645
O -2.050 3.985 5.349
O -5.462 4.104 11.179
O -2.813 3.006 7.543
O 0.599 5.083 1.713
O -2.485 0.117 7.315
O 0.927 2.579 1.485
O 0.524 1.333 4.003
O -2.888 1.363 9.832
O -0.512 3.961 7.321
O 2.899 4.128 1.491
O 1.552 2.786 5.764
O -1.859 5.303 11.594
O 1.355 0.284 6.117
O 4.767 2.412 0.288
O 2.986 1.196 4.421
O -0.426 1.501 10.251
O 5.003 0.142 2.749
O 1.591 2.554 8.579
O 4.869 2.838 3.080
O 1.457 5.251 8.910
O 6.886 3.892 1.408
O 3.474 4.197 7.238
O 1.693 2.981 11.371
O 5.105 5.109 5.542
O 8.319 0.090 0.065
O 4.908 2.606 5.895
O 3.561 1.265 10.168
O 6.972 1.432 4.338
O 9.348 4.030 1.827
O 5.936 4.059 7.657
O 5.533 2.814 10.174
O 8.945 5.276 4.344
O 5.861 0.310 9.946
O 9.273 2.387 4.116
O 11.922 1.289 0.480
O 8.510 1.408 6.310
O 11.420 0.158 3.014
O 8.008 2.538 8.844
```



[2]
The following is a simulated powder diffraction line list of MgTa2O6. It was derived from DFT lattice parameters and positions (PBE), using a wavelength of 1.5418 Å.

Peak list (10 most intense, 15° ≤ 2θ ≤ 90°, in order of rising 2θ)
two_theta  d_spacing  I/Imax  hkl
23.43  3.797  1000  0 1 1
32.49  2.755  144  0 2 0
33.36  2.686  542  2 1 1
34.29  2.615  120  0 0 2
41.93  2.155  102  2 0 2
47.96  1.897  137  0 2 2
53.92  1.700  146  4 1 1
54.02  1.697  150  2 2 2
58.52  1.577  111  2 3 1
60.82  1.523  128  2 1 3

Cell and atoms:
```
18
Lattice="7.609 0.000 0.000 0.000 5.511 0.000 0.000 0.000 5.230" Properties=species:S:1:pos:R:3 pbc="T T T"
Mg 0.000 0.986 0.000
Mg 3.804 4.525 2.615
Ta 1.890 4.075 5.151
Ta 1.914 1.436 2.536
Ta 5.694 1.436 2.536
Ta 5.719 4.075 5.151
O 0.000 1.509 3.207
O 0.000 4.358 4.658
O 1.406 2.376 0.791
O 1.514 5.346 1.342
O 2.291 0.165 3.956
O 2.399 3.135 3.406
O 3.804 1.153 2.044
O 3.804 4.002 0.592
O 5.210 3.135 3.406
O 5.318 0.165 3.956
O 6.095 5.346 1.342
O 6.203 2.376 0.791
```



[3]
The following is a simulated powder diffraction line list of CaMg14Mo. It was derived from DFT lattice parameters and positions (PBE), using a wavelength of 1.5418 Å.

Peak list (10 most intense, 15° ≤ 2θ ≤ 90°, in order of rising 2θ)
two_theta  d_spacing  I/Imax  hkl
15.87  5.583  191  1 0 0
23.71  3.753  126  1 0 2
32.06  2.792  269  2 0 0
35.41  2.535  233  0 0 4
36.75  2.445  1000  2 0 2
48.51  1.877  156  2 0 4
57.15  1.612  174  2 2 0
64.46  1.446  159  2 0 6
69.06  1.360  179  2 2 4
69.90  1.346  137  4 0 2

Cell and atoms:
```
16
Lattice="6.447 0.000 0.000 -3.223 5.583 0.000 0.000 0.000 10.139" Properties=species:S:1:pos:R:3 pbc="T T T"
Ca 0.000 0.000 0.000
Mg -1.565 2.819 0.000
Mg 0.000 1.821 2.715
Mg 0.000 1.821 7.424
Mg -1.646 4.673 2.715
Mg -1.646 4.673 7.424
Mg 1.565 2.819 0.000
Mg 0.000 5.529 0.000
Mg 3.223 0.025 5.070
Mg 1.633 2.779 5.070
Mg 3.223 1.861 2.464
Mg 3.223 1.861 7.675
Mg 1.646 4.673 2.715
Mg 1.646 4.673 7.424
Mg 4.814 2.779 5.070
Mo 0.000 0.000 5.070
```



[4]
The following is a simulated powder diffraction line list of KErO3. It was derived from DFT lattice parameters and positions (PBE), using a wavelength of 1.5418 Å.

Peak list (10 most intense, 15° ≤ 2θ ≤ 90°, in order of rising 2θ)
two_theta  d_spacing  I/Imax  hkl
20.06  4.427  652  1 0 0
28.52  3.130  1000  1 1 0
40.77  2.213  342  2 0 0
45.84  1.980  310  2 1 0
50.50  1.807  413  2 1 1
59.02  1.565  213  2 2 0
63.00  1.476  151  3 0 0
66.84  1.400  179  3 1 0
74.21  1.278  69  2 2 2
81.33  1.183  209  3 2 1

Cell and atoms:
```
5
Lattice="4.427 0.000 0.000 0.000 4.427 0.000 0.000 0.000 4.427" Properties=species:S:1:pos:R:3 pbc="T T T"
K 0.000 0.000 0.000
Er 2.213 2.213 2.213
O 0.000 2.213 2.213
O 2.213 0.000 2.213
O 2.213 2.213 0.000
```